Diffraction record for SmYNiPt. The X-ray powder pattern is simulated, not measured: it uses a crystal structure in Alexandria, relaxed with GGA-PBE and Cu Kα (weighted mean of Kα1 and Kα2).
No peak broadening, texture or thermal motion is included.

Structure:
a b c (Å): 4.3770 5.5443 5.5443
angles (deg): 41.04 90.00 90.00
Fractional positions:
Sm (0.0000, 0.0000, 0.0000)
Y (0.5000, 0.7198, 0.7198)
Ni (0.0000, 0.2800, 0.2800)
Pt (0.5000, 0.4347, 0.4347)

Largest 10 diffraction maxima, low angle first, 2θ from 10° to 90°:
17.08°, I = 34; 31.98°, I = 100; 34.55°, I = 19; 34.70°, I = 24; 40.39°, I = 25; 40.53°, I = 63; 41.25°, I = 27; 46.75°, I = 19; 64.08°, I = 14; 74.68°, I = 14